For Pm2CoH6Pd, the GGA-PBE geometry in Alexandria gives the theoretical powder X-ray diffraction pattern in this record (Cu Kα (weighted mean of Kα1 and Kα2)).
Intensities are scaled so that the largest is 100.

Main lines, in order of rising 2θ (15 to 90 degrees two-theta):
- 3.680 Å, intensity 8, hkl 0 2 0
- 2.602 Å, intensity 51, hkl 0 2 2
- 2.592 Å, intensity 100, hkl 2 2 0
- 1.843 Å, intensity 9, hkl 0 0 4
- 1.837 Å, intensity 9, hkl 0 4 0
- 1.826 Å, intensity 9, hkl 4 0 0
- 1.500 Å, intensity 37, hkl 2 4 2
- 1.495 Å, intensity 18, hkl 4 2 2

Lattice parameters (Å, degrees): 7.303 7.349 7.370 90.00 90.00 90.00
Space group Fmmm (No. 69)
One atom of each set of equivalent atoms:
1 Pm 0.250 0.250 0.250
2 Co 0.000 0.000 0.000
3 H 0.000 0.000 0.227
4 H 0.000 0.227 0.000
5 H 0.229 0.000 0.000
6 Pd 0.000 0.000 0.500


For CoHPd2Rh, the GGA-PBE geometry in Alexandria gives the theoretical powder X-ray diffraction pattern in this record (Cu Kα (weighted mean of Kα1 and Kα2)).
Intensities are scaled so that the largest is 100.

Main lines, in order of rising 2θ (15 to 90 degrees two-theta):
- 2.250 Å, intensity 100, hkl 1 1 1
- 1.956 Å, intensity 16, hkl 0 0 2
- 1.945 Å, intensity 32, hkl 2 0 0
- 1.379 Å, intensity 20, hkl 2 0 2
- 1.375 Å, intensity 10, hkl 2 2 0
- 1.178 Å, intensity 12, hkl 1 1 3
- 1.173 Å, intensity 24, hkl 3 1 1
- 1.125 Å, intensity 10, hkl 2 2 2

Lattice parameters (Å, degrees): 3.890 3.890 3.912 90.00 90.00 90.00
Space group P4/mmm (No. 123)
One atom of each set of equivalent atoms:
1 Co 0.000 0.000 0.000
2 H 0.000 0.000 0.500
3 Pd 0.000 0.500 0.500
4 Rh 0.500 0.500 0.000


For PmCo3H6, the GGA-PBE geometry in Alexandria gives the theoretical powder X-ray diffraction pattern in this record (Cu Kα (weighted mean of Kα1 and Kα2)).
Intensities are scaled so that the largest is 100.

Main lines, in order of rising 2θ (15 to 90 degrees two-theta):
- 3.683 Å, intensity 60, hkl 1 0 1
- 3.380 Å, intensity 35, hkl 0 1 2
- 2.645 Å, intensity 74, hkl 1 0 4
- 2.453 Å, intensity 22, hkl 0 0 6
- 2.328 Å, intensity 62, hkl 0 1 5
- 2.196 Å, intensity 100, hkl 1 1 0
- 1.690 Å, intensity 19, hkl 0 2 4
- 1.636 Å, intensity 43, hkl 1 1 6

Lattice parameters (Å, degrees): 4.3928 4.3928 14.7200 90.00 90.00 120.00
Space group R3 (No. 146, hexagonal axes)
One atom of each set of equivalent atoms:
1 Pm 0.0000 0.0000 0.0000
2 Co 0.0000 0.0000 0.2045
3 Co 0.0000 0.0000 0.5352
4 Co 0.0000 0.0000 0.8140
5 H 0.9996 0.5057 0.9414
6 H 0.0378 0.3393 0.1316


For PmCoH4, the GGA-PBE geometry in Alexandria gives the theoretical powder X-ray diffraction pattern in this record (Cu Kα (weighted mean of Kα1 and Kα2)).
Intensities are scaled so that the largest is 100.

Main lines, in order of rising 2θ (15 to 90 degrees two-theta):
- 3.715 Å, intensity 36, hkl 0 2 1
- 2.922 Å, intensity 48, hkl 0 4 0
- 2.840 Å, intensity 100, hkl 1 1 1
- 2.679 Å, intensity 21, hkl 1 3 0
- 2.406 Å, intensity 33, hkl 0 0 2
- 2.341 Å, intensity 65, hkl 1 3 1
- 1.858 Å, intensity 26, hkl 0 4 2
- 1.827 Å, intensity 17, hkl 1 5 1

Lattice parameters (Å, degrees): 3.690 11.689 4.812 90.00 90.00 90.00
Space group Cmcm (No. 63)
One atom of each set of equivalent atoms:
1 Pm 0.000 0.131 0.250
2 Co 0.000 0.405 0.250
3 H 0.000 0.089 0.750
4 H 0.000 0.309 0.011
5 H 0.000 0.500 0.000


For Pm2CoH6Rh, the GGA-PBE geometry in Alexandria gives the theoretical powder X-ray diffraction pattern in this record (Cu Kα (weighted mean of Kα1 and Kα2)).
Intensities are scaled so that the largest is 100.

Main lines, in order of rising 2θ (15 to 90 degrees two-theta):
- 2.583 Å, intensity 100, hkl 2 0 2
- 2.571 Å, intensity 49, hkl 2 2 0
- 1.834 Å, intensity 9, hkl 0 0 4
- 1.822 Å, intensity 9, hkl 0 4 0
- 1.815 Å, intensity 9, hkl 4 0 0
- 1.493 Å, intensity 18, hkl 2 2 4
- 1.488 Å, intensity 18, hkl 2 4 2
- 1.485 Å, intensity 18, hkl 4 2 2

Lattice parameters (Å, degrees): 7.258 7.288 7.338 90.00 90.00 90.00
Space group Fmmm (No. 69)
One atom of each set of equivalent atoms:
1 Pm 0.250 0.250 0.250
2 Co 0.000 0.000 0.000
3 H 0.000 0.000 0.234
4 H 0.000 0.236 0.000
5 H 0.237 0.000 0.000
6 Rh 0.000 0.000 0.500


For PmScCo2H8, the GGA-PBE geometry in Alexandria gives the theoretical powder X-ray diffraction pattern in this record (Cu Kα (weighted mean of Kα1 and Kα2)).
Intensities are scaled so that the largest is 100.

Main lines, in order of rising 2θ (15 to 90 degrees two-theta):
- 3.885 Å, intensity 87, hkl 1 0 1
- 3.591 Å, intensity 29, hkl 0 1 2
- 2.856 Å, intensity 80, hkl 1 0 4
- 2.719 Å, intensity 35, hkl 0 0 6
- 2.528 Å, intensity 63, hkl 0 1 5
- 2.309 Å, intensity 100, hkl 1 1 0
- 1.760 Å, intensity 57, hkl 1 1 6
- 1.510 Å, intensity 24, hkl 1 0 10

Lattice parameters (Å, degrees): 4.6187 4.6187 16.3114 90.00 90.00 120.00
Space group R-3 (No. 148, hexagonal axes)
One atom of each set of equivalent atoms:
1 Pm 0.0000 0.0000 0.0000
2 Sc 0.0000 0.0000 0.5000
3 Co 0.0000 0.0000 0.1933
4 H 0.0000 0.0000 0.2983
5 H 0.0401 0.7573 0.8823


For PmZnCo2H8, the GGA-PBE geometry in Alexandria gives the theoretical powder X-ray diffraction pattern in this record (Cu Kα (weighted mean of Kα1 and Kα2)).
Intensities are scaled so that the largest is 100.

Main lines, in order of rising 2θ (15 to 90 degrees two-theta):
- 3.770 Å, intensity 48, hkl 1 0 1
- 3.499 Å, intensity 39, hkl 0 1 2
- 2.806 Å, intensity 100, hkl 1 0 4
- 2.711 Å, intensity 36, hkl 0 0 6
- 2.492 Å, intensity 44, hkl 0 1 5
- 2.238 Å, intensity 100, hkl 1 1 0
- 1.726 Å, intensity 55, hkl 1 1 6
- 1.500 Å, intensity 27, hkl 1 0 10

Lattice parameters (Å, degrees): 4.4753 4.4753 16.2654 90.00 90.00 120.00
Space group R-3 (No. 148, hexagonal axes)
One atom of each set of equivalent atoms:
1 Pm 0.0000 0.0000 0.0000
2 Zn 0.0000 0.0000 0.5000
3 Co 0.0000 0.0000 0.1972
4 H 0.0000 0.0000 0.2975
5 H 0.0224 0.7425 0.8801